(1)
# BaSm2Ga2Ni4
Theoretical powder diffraction line list, Cu Kα (λ = 1.5418 Å). Input: DFT lattice parameters and positions (PBE).

Atomic structure:
Cell: 5.727 5.727 8.197 Å, 99.24 99.24 42.55°
Atoms (fractional coordinates):
Ba (0.000, 0.000, 0.000)
Sm (0.377, 0.377, 0.614)
Sm (0.623, 0.623, 0.386)
Ga (0.317, 0.317, 0.226)
Ga (0.683, 0.683, 0.774)
Ni (0.090, 0.090, 0.624)
Ni (0.257, 0.257, 0.910)
Ni (0.743, 0.743, 0.090)
Ni (0.910, 0.910, 0.376)

Most intense lines, 15° ≤ 2θ ≤ 90°, in order of rising 2θ:
d [Å], 2θ (°), I/Imax
3.403, 26.19, 83
2.964, 30.15, 37
2.885, 31.00, 64
2.679, 33.45, 95
2.637, 34.00, 70
2.583, 34.73, 49
2.381, 37.78, 100
2.146, 42.11, 77
2.078, 43.56, 70
1.431, 65.18, 37

(2)
# BaY2Ga2Ni4
Theoretical powder diffraction line list, Cu Kα (λ = 1.5418 Å). Input: DFT lattice parameters and positions (PBE).

Atomic structure:
Cell: 5.713 5.713 8.109 Å, 98.90 98.90 42.47°
Atoms (fractional coordinates):
Ba (0.000, 0.000, 0.000)
Y (0.376, 0.376, 0.612)
Y (0.624, 0.624, 0.388)
Ga (0.317, 0.317, 0.229)
Ga (0.683, 0.683, 0.771)
Ni (0.091, 0.091, 0.622)
Ni (0.258, 0.258, 0.909)
Ni (0.742, 0.742, 0.091)
Ni (0.909, 0.909, 0.378)

Most intense lines, 15° ≤ 2θ ≤ 90°, in order of rising 2θ:
d [Å], 2θ (°), I/Imax
3.389, 26.30, 43
2.862, 31.26, 51
2.672, 33.54, 100
2.627, 34.13, 64
2.554, 35.14, 39
2.381, 37.78, 41
2.365, 38.05, 56
2.132, 42.41, 91
2.069, 43.75, 65
1.607, 57.32, 45

(3)
# BaYZn3GaO7
Theoretical powder diffraction line list, Cu Kα (λ = 1.5418 Å). Input: DFT lattice parameters and positions (PBE).

Atomic structure:
Cell: 6.370 6.370 10.311 Å, 90.00 90.00 120.00°
Atoms (fractional coordinates):
Ba (0.333, 0.667, 0.000)
Ba (0.667, 0.333, 0.500)
Y (0.333, 0.667, 0.360)
Y (0.667, 0.333, 0.860)
Zn (0.171, 0.342, 0.676)
Zn (0.171, 0.829, 0.676)
Zn (0.342, 0.171, 0.176)
Zn (0.658, 0.829, 0.676)
Zn (0.829, 0.171, 0.176)
Zn (0.829, 0.658, 0.176)
Ga (0.000, 0.000, 0.426)
Ga (0.000, 0.000, 0.926)
O (0.000, 0.000, 0.244)
O (0.000, 0.000, 0.744)
O (0.010, 0.505, 0.231)
O (0.159, 0.319, 0.484)
O (0.159, 0.841, 0.484)
O (0.319, 0.159, 0.984)
O (0.495, 0.505, 0.231)
O (0.495, 0.990, 0.231)
O (0.505, 0.010, 0.731)
O (0.505, 0.495, 0.731)
O (0.681, 0.841, 0.484)
O (0.841, 0.159, 0.984)
O (0.841, 0.681, 0.984)
O (0.990, 0.495, 0.731)

Most intense lines, 15° ≤ 2θ ≤ 90°, in order of rising 2θ:
d [Å], 2θ (°), I/Imax
3.185, 28.01, 41
2.917, 30.65, 86
2.710, 33.06, 93
2.665, 33.63, 100
1.783, 51.25, 36
1.732, 52.86, 24
1.652, 55.65, 38
1.592, 57.91, 43
1.459, 63.82, 18
1.398, 66.94, 18

(4)
# BaZn2GaP
Theoretical powder diffraction line list, Cu Kα (λ = 1.5418 Å). Input: DFT lattice parameters and positions (PBE).

Atomic structure:
Cell: 6.074 6.074 6.074 Å, 135.93 135.93 64.09°
Atoms (fractional coordinates):
Ba (0.000, 0.000, 0.000)
Zn (0.252, 0.752, 0.500)
Zn (0.752, 0.252, 0.500)
Ga (0.636, 0.636, 0.000)
P (0.396, 0.396, 0.000)

Most intense lines, 15° ≤ 2θ ≤ 90°, in order of rising 2θ:
d [Å], 2θ (°), I/Imax
4.167, 21.32, 17
2.742, 32.66, 56
2.731, 32.79, 100
2.279, 39.55, 56
1.877, 48.51, 17
1.752, 52.20, 29
1.611, 57.17, 18
1.515, 61.19, 17
1.449, 64.31, 15
1.388, 67.48, 30

(5)
# BaGaSnPd2
Theoretical powder diffraction line list, Cu Kα (λ = 1.5418 Å). Input: DFT lattice parameters and positions (PBE).

Atomic structure:
Cell: 4.716 4.716 10.646 Å, 90.00 90.00 90.00°
Atoms (fractional coordinates):
Ba (0.250, 0.250, 0.245)
Ba (0.750, 0.750, 0.755)
Ga (0.250, 0.750, 0.000)
Ga (0.750, 0.250, 0.000)
Sn (0.250, 0.250, 0.625)
Sn (0.750, 0.750, 0.375)
Pd (0.250, 0.250, 0.891)
Pd (0.250, 0.750, 0.500)
Pd (0.750, 0.250, 0.500)
Pd (0.750, 0.750, 0.109)

Most intense lines, 15° ≤ 2θ ≤ 90°, in order of rising 2θ:
d [Å], 2θ (°), I/Imax
3.334, 26.73, 25
2.836, 31.55, 100
2.826, 31.66, 88
2.358, 38.17, 91
2.080, 43.51, 32
1.941, 46.81, 21
1.813, 50.33, 54
1.667, 55.08, 31
1.566, 58.96, 23
1.436, 64.92, 34

(6)
# BaTbGa4Pt2
Theoretical powder diffraction line list, Cu Kα (λ = 1.5418 Å). Input: DFT lattice parameters and positions (PBE).

Atomic structure:
Cell: 7.081 5.783 5.783 Å, 44.97 90.00 90.00°
Atoms (fractional coordinates):
Ba (0.000, 0.000, 0.000)
Tb (0.500, 0.843, 0.843)
Ga (0.204, 0.282, 0.282)
Ga (0.317, 0.567, 0.567)
Ga (0.683, 0.567, 0.567)
Ga (0.796, 0.282, 0.282)
Pt (0.000, 0.719, 0.719)
Pt (0.500, 0.130, 0.130)

Most intense lines, 15° ≤ 2θ ≤ 90°, in order of rising 2θ:
d [Å], 2θ (°), I/Imax
5.343, 16.59, 23
3.540, 25.15, 48
2.676, 33.49, 82
2.583, 34.73, 100
2.500, 35.93, 55
2.212, 40.80, 43
2.184, 41.34, 38
2.044, 44.32, 31
1.770, 51.65, 25
1.656, 55.48, 32

(7)
# BaYGa4Pt2
Theoretical powder diffraction line list, Cu Kα (λ = 1.5418 Å). Input: DFT lattice parameters and positions (PBE).

Atomic structure:
Cell: 7.091 5.771 5.771 Å, 44.84 90.00 90.00°
Atoms (fractional coordinates):
Ba (0.000, 0.000, 0.000)
Y (0.500, 0.156, 0.156)
Ga (0.204, 0.718, 0.718)
Ga (0.317, 0.431, 0.431)
Ga (0.683, 0.431, 0.431)
Ga (0.796, 0.718, 0.718)
Pt (0.000, 0.280, 0.280)
Pt (0.500, 0.868, 0.868)

Most intense lines, 15° ≤ 2θ ≤ 90°, in order of rising 2θ:
d [Å], 2θ (°), I/Imax
5.335, 16.62, 40
3.546, 25.12, 31
3.529, 25.23, 30
2.673, 33.53, 82
2.577, 34.81, 100
2.497, 35.97, 60
2.201, 41.01, 47
2.181, 41.40, 49
2.044, 44.32, 41
1.651, 55.67, 34

(8)
# BaGa3Tc
Theoretical powder diffraction line list, Cu Kα (λ = 1.5418 Å). Input: DFT lattice parameters and positions (PBE).

Atomic structure:
Cell: 6.915 6.915 4.961 Å, 90.00 90.00 90.00°
Atoms (fractional coordinates):
Ba (0.250, 0.750, 0.000)
Ba (0.750, 0.250, 0.000)
Ga (0.000, 0.000, 0.500)
Ga (0.000, 0.500, 0.500)
Ga (0.250, 0.250, 0.070)
Ga (0.500, 0.000, 0.500)
Ga (0.500, 0.500, 0.500)
Ga (0.750, 0.750, 0.930)
Tc (0.250, 0.250, 0.576)
Tc (0.750, 0.750, 0.424)

Most intense lines, 15° ≤ 2θ ≤ 90°, in order of rising 2θ:
d [Å], 2θ (°), I/Imax
3.482, 25.58, 61
3.458, 25.77, 32
2.837, 31.54, 97
2.480, 36.22, 37
2.445, 36.76, 100
2.001, 45.32, 25
1.741, 52.56, 50
1.729, 52.97, 34
1.476, 62.96, 26
1.418, 65.85, 25

(9)
# Ba3Th3Ga2
Theoretical powder diffraction line list, Cu Kα (λ = 1.5418 Å). Input: DFT lattice parameters and positions (PBE).

Atomic structure:
Cell: 5.169 5.169 13.457 Å, 90.00 90.00 90.00°
Atoms (fractional coordinates):
Ba (0.000, 0.000, 0.000)
Ba (0.000, 0.000, 0.500)
Ba (0.500, 0.500, 0.000)
Th (0.500, 0.500, 0.279)
Th (0.500, 0.500, 0.500)
Th (0.500, 0.500, 0.721)
Ga (0.000, 0.500, 0.835)
Ga (0.500, 0.000, 0.165)

Most intense lines, 15° ≤ 2θ ≤ 90°, in order of rising 2θ:
d [Å], 2θ (°), I/Imax
5.169, 17.16, 76
4.099, 21.68, 39
3.655, 24.35, 100
3.364, 26.49, 37
2.820, 31.74, 24
2.584, 34.71, 71
2.475, 36.29, 91
2.049, 44.19, 38
1.827, 49.91, 26
1.470, 63.25, 37

(10)
# BaGd
Theoretical powder diffraction line list, Cu Kα (λ = 1.5418 Å). Input: DFT lattice parameters and positions (PBE).

Atomic structure:
Cell: 3.891 3.891 6.475 Å, 90.00 90.00 120.00°
Atoms (fractional coordinates):
Ba (0.000, 0.000, 0.000)
Gd (0.667, 0.333, 0.500)

Most intense lines, 15° ≤ 2θ ≤ 90°, in order of rising 2θ:
d [Å], 2θ (°), I/Imax
3.370, 26.45, 23
3.237, 27.55, 27
2.989, 29.89, 100
2.335, 38.56, 17
1.946, 46.68, 19
1.817, 50.20, 24
1.668, 55.07, 24
1.631, 56.42, 17
1.250, 76.17, 14
1.097, 89.30, 10

(11)
# BaGd2
Theoretical powder diffraction line list, Cu Kα (λ = 1.5418 Å). Input: DFT lattice parameters and positions (PBE).

Atomic structure:
Cell: 7.099 7.099 7.099 Å, 60.00 60.00 60.00°
Atoms (fractional coordinates):
Ba (0.125, 0.125, 0.125)
Ba (0.875, 0.875, 0.875)
Gd (0.000, 0.500, 0.500)
Gd (0.500, 0.000, 0.500)
Gd (0.500, 0.500, 0.000)
Gd (0.500, 0.500, 0.500)

Most intense lines, 15° ≤ 2θ ≤ 90°, in order of rising 2θ:
d [Å], 2θ (°), I/Imax
5.797, 15.29, 10
3.550, 25.09, 21
3.027, 29.51, 100
2.898, 30.85, 46
1.932, 47.03, 37
1.775, 51.49, 34
1.531, 60.46, 13
1.514, 61.24, 20
1.307, 72.28, 23
1.159, 83.36, 12

(12)
# BaGdInO4
Theoretical powder diffraction line list, Cu Kα (λ = 1.5418 Å). Input: DFT lattice parameters and positions (PBE).

Atomic structure:
Cell: 13.799 5.875 10.634 Å, 90.00 90.00 90.00°
Atoms (fractional coordinates):
Ba (0.091, 0.250, 0.110)
Ba (0.216, 0.750, 0.335)
Ba (0.284, 0.250, 0.835)
Ba (0.409, 0.750, 0.610)
Ba (0.591, 0.250, 0.390)
Ba (0.716, 0.750, 0.165)
Ba (0.784, 0.250, 0.665)
Ba (0.909, 0.750, 0.890)
Gd (0.082, 0.250, 0.483)
Gd (0.142, 0.750, 0.689)
Gd (0.358, 0.250, 0.189)
Gd (0.418, 0.750, 0.983)
Gd (0.582, 0.250, 0.017)
Gd (0.642, 0.750, 0.811)
Gd (0.858, 0.250, 0.311)
Gd (0.918, 0.750, 0.517)
In (0.029, 0.250, 0.779)
In (0.194, 0.750, 0.978)
In (0.306, 0.250, 0.478)
In (0.471, 0.750, 0.279)
In (0.529, 0.250, 0.721)
In (0.694, 0.750, 0.522)
In (0.806, 0.250, 0.022)
In (0.971, 0.750, 0.221)
O (0.008, 0.000, 0.634)
O (0.008, 0.500, 0.634)
O (0.104, 0.750, 0.136)
O (0.111, 0.503, 0.871)
O (0.111, 0.997, 0.871)
O (0.206, 0.250, 0.309)
O (0.207, 0.001, 0.555)
O (0.207, 0.499, 0.555)
O (0.293, 0.501, 0.055)
O (0.293, 0.999, 0.055)
O (0.294, 0.750, 0.809)
O (0.389, 0.003, 0.371)
O (0.389, 0.497, 0.371)
O (0.396, 0.250, 0.636)
O (0.492, 0.000, 0.134)
O (0.492, 0.500, 0.134)
O (0.508, 0.000, 0.866)
O (0.508, 0.500, 0.866)
O (0.604, 0.750, 0.364)
O (0.611, 0.503, 0.629)
O (0.611, 0.997, 0.629)
O (0.706, 0.250, 0.191)
O (0.707, 0.001, 0.945)
O (0.707, 0.499, 0.945)
O (0.793, 0.501, 0.445)
O (0.793, 0.999, 0.445)
O (0.794, 0.750, 0.691)
O (0.889, 0.003, 0.129)
O (0.889, 0.497, 0.129)
O (0.896, 0.250, 0.864)
O (0.992, 0.000, 0.366)
O (0.992, 0.500, 0.366)

Most intense lines, 15° ≤ 2θ ≤ 90°, in order of rising 2θ:
d [Å], 2θ (°), I/Imax
3.479, 25.61, 19
3.424, 26.02, 26
2.975, 30.04, 86
2.964, 30.15, 100
2.938, 30.43, 71
2.865, 31.22, 54
2.808, 31.87, 20
2.245, 40.17, 21
2.030, 44.64, 29
1.702, 53.86, 46